[1]
# Nd2S3
Computed powder diffraction line list, CuKα. Input: DFT lattice parameters and positions (GGA-PBE).
Kinematic intensities with the Lorentz-polarization factor, no thermal factor.

Principal peaks in the range 2θ = 5–70°, by angle:
hkl  Position (°2θ)  intensity
1 1 6  25.40  1000
3 1 0  32.94  721
1 0 9  33.04  301
2 1 9  39.24  655
4 0 6  47.29  268
2 0 12  47.40  132
3 2 9  49.79  259
4 3 3  54.40  140
3 1 12  54.50  157
5 3 6  67.13  141

Atomic structure:
Cell: 8.600 8.600 25.714 Å, 90.00 90.00 90.00°
Space group I-42d (No. 122)
Unique sites:
Nd1 0.000 0.000 0.165 x8
Nd2 0.120 0.250 0.625 x8
Nd3 0.138 0.241 0.289 x16
S1 0.071 0.176 0.067 x16
S2 0.073 0.181 0.395 x16
S3 0.081 0.169 0.734 x16


[2]
# Pm7Ga2Si
Computed powder diffraction line list, CuKα. Input: DFT lattice parameters and positions (GGA-PBE).
Kinematic intensities with the Lorentz-polarization factor, no thermal factor.

Principal peaks in the range 2θ = 5–70°, by angle:
hkl  Position (°2θ)  intensity
2 0 0  16.12  406
3 1 1  26.89  73
2 2 2  28.11  980
4 0 0  32.57  1000
4 2 0  36.54  208
4 4 0  46.72  727
6 0 0  49.74  108
6 2 2  55.42  436
4 4 4  58.11  251
8 0 0  68.22  115

Atomic structure:
Cell: 10.998 10.998 10.998 Å, 90.00 90.00 90.00°
Space group Fm-3m (No. 225)
Unique sites:
Pm1 0.000 0.000 0.000 x4
Pm2 0.000 0.000 0.255 x24
Ga1 0.250 0.250 0.250 x8
Si1 0.000 0.000 0.500 x4


[3]
# GdLu
Computed powder diffraction line list, CuKα. Input: DFT lattice parameters and positions (GGA-PBE).
Kinematic intensities with the Lorentz-polarization factor, no thermal factor.

Principal peaks in the range 2θ = 5–70°, by angle:
hkl  Position (°2θ)  intensity
1 1 0  31.98  1000
2 0 0  45.86  186
2 1 1  57.00  391
2 2 0  66.87  121

Atomic structure:
Cell: 3.958 3.958 3.958 Å, 90.00 90.00 90.00°
Space group Pm-3m (No. 221)
Unique sites:
Gd1 0.000 0.000 0.000 x1
Lu1 0.500 0.500 0.500 x1